Calculated powder diffraction line list of Ba6Tl2CdO for Cu Kα X-rays, from a PBE-relaxed structure.
Kinematic intensities with the Lorentz-polarization factor, no thermal factor.

Cell and atoms:
Unit cell a=8.424 b=11.677 c=9.230 alpha=90.00 beta=90.00 gamma=90.00
Fractional positions:
Ba1 0.002 0.250 0.092
Ba2 0.023 0.750 0.470
Ba3 0.250 0.523 0.701
Ba4 0.250 0.977 0.701
Ba5 0.477 0.750 0.470
Ba6 0.498 0.250 0.092
Ba7 0.502 0.750 0.908
Ba8 0.523 0.250 0.530
Ba9 0.750 0.023 0.299
Ba10 0.750 0.477 0.299
Ba11 0.977 0.250 0.530
Ba12 0.998 0.750 0.908
Tl1 0.250 0.041 0.316
Tl2 0.250 0.459 0.316
Tl3 0.750 0.541 0.684
Tl4 0.750 0.959 0.684
Cd1 0.250 0.250 0.806
Cd2 0.750 0.750 0.194
O1 0.250 0.750 0.730
O2 0.750 0.250 0.270

Principal peaks in the range 5° ≤ 2θ ≤ 70°, by angle:
(hkl)  Position (°2θ)  Rel. int.
0 2 2  24.59  57
2 2 0  26.09  100
2 0 2  28.70  71
2 1 2  29.72  39
0 4 0  30.63  41
2 3 1  32.80  38
0 2 3  32.91  45
2 4 2  42.46  33